Computed powder diffractogram of Tm3Lu3NiBi2 for CuKα, from a structure optimized by DFT (GGA-PBE).
Lines closer than 0.1° are merged.

Cell and atoms:
Lattice parameters (Å, degrees): 8.2921 8.2921 3.9971 90.00 90.00 120.00
Fractional coordinates of all 9 atoms:
Tm  0.0000  0.7648  0.0000
Tm  0.2352  0.2352  0.0000
Tm  0.7648  0.0000  0.0000
Lu  0.0000  0.3916  0.5000
Lu  0.3916  0.0000  0.5000
Lu  0.6084  0.6084  0.5000
Ni  0.0000  0.0000  0.5000
Bi  0.3333  0.6667  0.0000
Bi  0.6667  0.3333  0.0000

Main lines, in order of falling intensity (2θ from 10° to 80°):
d_spacing  Rel. int.  hkl
2.878  100  1 1 1
2.714  58  2 1 0
2.671  56  2 0 1
2.394  35  3 0 0
2.245  33  2 1 1
1.609  25  2 1 2